Theoretical powder diffractogram of Eu4As2O for a wavelength of 1.5418 Å, from a crystal structure in the Materials Project, relaxed with GGA-PBE.
Intensities are scaled so that the largest is 100.

Top 10 peaks for 10 to 80 degrees two-theta, in order of rising 2θ:
| two_theta | d (Å) | I (rel.) |
| --- | --- | --- |
| 28.81 | 3.099 | 100.0 |
| 33.60 | 2.667 | 32.7 |
| 33.76 | 2.655 | 24.4 |
| 34.86 | 2.574 | 76.2 |
| 37.85 | 2.377 | 63.4 |
| 51.50 | 1.774 | 38.5 |
| 54.61 | 1.681 | 21.6 |
| 62.91 | 1.477 | 22.2 |
| 65.68 | 1.422 | 21.9 |
| 66.44 | 1.407 | 23.5 |

Cell and atoms:
```
data_Eu4As2O
_symmetry_space_group_name_H-M 'P 1'
_symmetry_Int_Tables_number 1
_symmetry_space_group_name_Hall 'P 1'
_cell_length_a 8.6791
_cell_length_b 8.6791
_cell_length_c 8.6791
_cell_angle_alpha 148.21
_cell_angle_beta 148.21
_cell_angle_gamma 45.57
loop_
_atom_site_label
_atom_site_fract_x
_atom_site_fract_y
_atom_site_fract_z
Eu1 0.0000 0.5000 0.5000
Eu2 0.1738 0.1738 0.0000
Eu3 0.5000 0.0000 0.5000
Eu4 0.8262 0.8262 0.0000
As1 0.3647 0.3647 0.0000
As2 0.6353 0.6353 0.0000
O1 0.0000 0.0000 0.0000
```